Record 1
The following is a calculated X-ray powder pattern of Hg3Au. It was derived from a PBE-relaxed structure, using Cu Kα, 1.54184 Å.
No peak broadening, texture or thermal motion is included.

Structural model:
Unit cell a=4.029 b=4.264 c=5.671 alpha=90.00 beta=96.54 gamma=90.00
Space group P2/m (No. 10)
One atom of each set of equivalent atoms:
Hg 0.000 0.000 0.000 (multiplicity 1)
Hg 0.418 0.500 0.741 (multiplicity 2)
Au 0.000 0.000 0.500 (multiplicity 1)

Principal peaks in the range 2θ from 10° to 80°, by angle:
2θ = 30.6°, I 100; 2θ = 36.9°, I 33; 2θ = 38.3°, I 63; 2θ = 41.2°, I 21; 2θ = 42.4°, I 24; 2θ = 45.3°, I 11; 2θ = 57.4°, I 18; 2θ = 57.6°, I 13; 2θ = 60.6°, I 14; 2θ = 72.0°, I 10

Record 2
The following is a calculated X-ray powder pattern of Ho4HgAu7. It was derived from a PBE-relaxed structure, using Cu Kα, 1.54184 Å.
No peak broadening, texture or thermal motion is included.

Structural model:
Unit cell a=13.757 b=5.236 c=9.518 alpha=90.00 beta=124.37 gamma=90.00
Space group C2/m (No. 12)
One atom of each set of equivalent atoms:
Ho 0.068 0.000 0.246 (multiplicity 4)
Ho 0.239 0.000 0.784 (multiplicity 4)
Hg 0.000 0.500 0.500 (multiplicity 2)
Au 0.000 0.000 0.500 (multiplicity 2)
Au 0.074 0.500 0.856 (multiplicity 4)
Au 0.178 0.000 0.052 (multiplicity 4)
Au 0.185 0.500 0.439 (multiplicity 4)

Principal peaks in the range 2θ from 10° to 80°, by angle:
2θ = 30.7°, I 68; 2θ = 32.8°, I 20; 2θ = 34.3°, I 100; 2θ = 36.0°, I 86; 2θ = 38.5°, I 24; 2θ = 39.5°, I 19; 2θ = 45.6°, I 38; 2θ = 46.7°, I 44; 2θ = 53.3°, I 16; 2θ = 62.5°, I 18

Record 3
The following is a calculated X-ray powder pattern of Ho3HgAu. It was derived from a PBE-relaxed structure, using Cu Kα, 1.54184 Å.
No peak broadening, texture or thermal motion is included.

Structural model:
Unit cell a=3.759 b=9.787 c=15.698 alpha=90.00 beta=90.00 gamma=90.00
Space group Amm2 (No. 38)
One atom of each set of equivalent atoms:
Ho 0.000 0.000 0.000 (multiplicity 2)
Ho 0.000 0.000 0.313 (multiplicity 2)
Ho 0.500 0.194 0.545 (multiplicity 4)
Ho 0.500 0.194 0.767 (multiplicity 4)
Hg 0.000 0.000 0.656 (multiplicity 2)
Hg 0.500 0.000 0.157 (multiplicity 2)
Au 0.000 0.250 0.406 (multiplicity 4)

Principal peaks in the range 2θ from 10° to 80°, by angle:
2θ = 21.4°, I 59; 2θ = 26.3°, I 43; 2θ = 27.9°, I 34; 2θ = 30.7°, I 100; 2θ = 33.0°, I 36; 2θ = 36.7°, I 34; 2θ = 36.9°, I 38; 2θ = 37.9°, I 98; 2θ = 39.0°, I 69; 2θ = 63.9°, I 33

Record 4
The following is a calculated X-ray powder pattern of Ho4Hg3Au2. It was derived from a PBE-relaxed structure, using Cu Kα, 1.54184 Å.
No peak broadening, texture or thermal motion is included.

Structural model:
Unit cell a=5.0396 b=5.0396 c=9.8531 alpha=90.00 beta=90.00 gamma=120.00
Space group P-3m1 (No. 164)
One atom of each set of equivalent atoms:
Ho 0.0000 0.0000 0.1714 (multiplicity 2)
Ho 0.3333 0.6667 0.3836 (multiplicity 2)
Hg 0.0000 0.0000 0.5000 (multiplicity 1)
Hg 0.3333 0.6667 0.0374 (multiplicity 2)
Au 0.3333 0.6667 0.6874 (multiplicity 2)

Principal peaks in the range 2θ from 10° to 80°, by angle:
2θ = 34.2°, I 100; 2θ = 35.6°, I 97; 2θ = 45.4°, I 5; 2θ = 50.2°, I 34; 2θ = 60.2°, I 14; 2θ = 63.1°, I 35; 2θ = 64.0°, I 18; 2θ = 68.2°, I 6; 2θ = 72.0°, I 8; 2θ = 75.5°, I 11

Record 5
The following is a calculated X-ray powder pattern of Ho5Hg2Au2. It was derived from a PBE-relaxed structure, using Cu Kα, 1.54184 Å.
No peak broadening, texture or thermal motion is included.

Structural model:
Unit cell a=16.671 b=7.531 c=7.459 alpha=90.00 beta=90.00 gamma=90.00
Space group Cmce (No. 64)
One atom of each set of equivalent atoms:
Ho 0.000 0.000 0.000 (multiplicity 4)
Ho 0.134 0.176 0.331 (multiplicity 16)
Hg 0.217 0.000 0.000 (multiplicity 8)
Au 0.000 0.134 0.633 (multiplicity 8)

Principal peaks in the range 2θ from 10° to 80°, by angle:
2θ = 28.6°, I 30; 2θ = 31.2°, I 100; 2θ = 31.7°, I 32; 2θ = 32.0°, I 56; 2θ = 32.2°, I 69; 2θ = 33.8°, I 50; 2θ = 34.3°, I 87; 2θ = 38.2°, I 88; 2θ = 38.5°, I 50; 2θ = 65.8°, I 29

Record 6
The following is a calculated X-ray powder pattern of Ho5HgAu2. It was derived from a PBE-relaxed structure, using Cu Kα, 1.54184 Å.
No peak broadening, texture or thermal motion is included.

Structural model:
Unit cell a=8.052 b=8.052 c=12.883 alpha=90.00 beta=90.00 gamma=90.00
Space group I4/mcm (No. 140)
One atom of each set of equivalent atoms:
Ho 0.000 0.000 0.000 (multiplicity 4)
Ho 0.157 0.343 0.144 (multiplicity 16)
Hg 0.000 0.000 0.250 (multiplicity 4)
Au 0.136 0.364 0.500 (multiplicity 8)

Principal peaks in the range 2θ from 10° to 80°, by angle:
2θ = 31.4°, I 11; 2θ = 31.9°, I 13; 2θ = 32.4°, I 100; 2θ = 35.2°, I 62; 2θ = 35.7°, I 20; 2θ = 43.2°, I 12; 2θ = 51.4°, I 9; 2θ = 65.6°, I 13; 2θ = 66.2°, I 18; 2θ = 69.0°, I 13

Record 7
The following is a calculated X-ray powder pattern of HoHg6Au. It was derived from a PBE-relaxed structure, using Cu Kα, 1.54184 Å.
No peak broadening, texture or thermal motion is included.

Structural model:
Unit cell a=6.1816 b=6.1816 c=23.4333 alpha=90.00 beta=90.00 gamma=120.00
Space group R-3m (No. 166, hexagonal axes)
One atom of each set of equivalent atoms:
Ho 0.0000 0.0000 0.0000 (multiplicity 3)
Hg 0.0088 0.5044 0.4353 (multiplicity 18)
Au 0.0000 0.0000 0.5000 (multiplicity 3)

Principal peaks in the range 2θ from 10° to 80°, by angle:
2θ = 11.3°, I 49; 2θ = 17.0°, I 32; 2θ = 22.5°, I 30; 2θ = 33.7°, I 78; 2θ = 34.4°, I 100; 2θ = 34.9°, I 32; 2θ = 37.1°, I 41; 2θ = 43.3°, I 38; 2θ = 59.8°, I 29; 2θ = 70.9°, I 25

Record 8
The following is a calculated X-ray powder pattern of LiHo2HgAu4. It was derived from a PBE-relaxed structure, using Cu Kα, 1.54184 Å.
No peak broadening, texture or thermal motion is included.

Structural model:
Unit cell a=4.9092 b=4.9092 c=23.7244 alpha=90.00 beta=90.00 gamma=120.00
Space group R-3m (No. 166, hexagonal axes)
One atom of each set of equivalent atoms:
Li 0.0000 0.0000 0.0000 (multiplicity 3)
Ho 0.0000 0.0000 0.2457 (multiplicity 6)
Hg 0.0000 0.0000 0.5000 (multiplicity 3)
Au 0.0000 0.0000 0.1160 (multiplicity 6)
Au 0.0000 0.0000 0.3690 (multiplicity 6)

Principal peaks in the range 2θ from 10° to 80°, by angle:
2θ = 28.2°, I 9; 2θ = 33.8°, I 14; 2θ = 36.6°, I 100; 2θ = 37.0°, I 88; 2θ = 53.0°, I 32; 2θ = 65.9°, I 18; 2θ = 66.1°, I 33; 2θ = 66.8°, I 12; 2θ = 70.9°, I 9; 2θ = 77.8°, I 12

Record 9
The following is a calculated X-ray powder pattern of NdHoHgAu. It was derived from a PBE-relaxed structure, using Cu Kα, 1.54184 Å.
No peak broadening, texture or thermal motion is included.

Structural model:
Unit cell a=3.693 b=3.693 c=7.493 alpha=90.00 beta=90.00 gamma=90.00
Space group P4mm (No. 99)
One atom of each set of equivalent atoms:
Nd 0.000 0.000 0.000 (multiplicity 1)
Ho 0.000 0.000 0.478 (multiplicity 1)
Hg 0.500 0.500 0.726 (multiplicity 1)
Au 0.500 0.500 0.267 (multiplicity 1)

Principal peaks in the range 2θ from 10° to 80°, by angle:
2θ = 11.8°, I 3; 2θ = 34.1°, I 100; 2θ = 34.3°, I 51; 2θ = 43.8°, I 3; 2θ = 48.6°, I 8; 2θ = 49.4°, I 19; 2θ = 60.9°, I 16; 2θ = 61.3°, I 37; 2θ = 71.8°, I 10; 2θ = 72.4°, I 6

Record 10
The following is a calculated X-ray powder pattern of HoScHgAu. It was derived from a PBE-relaxed structure, using Cu Kα, 1.54184 Å.
No peak broadening, texture or thermal motion is included.

Structural model:
Unit cell a=3.571 b=3.571 c=7.046 alpha=90.00 beta=90.00 gamma=90.00
Space group P4mm (No. 99)
One atom of each set of equivalent atoms:
Ho 0.000 0.000 0.000 (multiplicity 1)
Sc 0.000 0.000 0.522 (multiplicity 1)
Hg 0.500 0.500 0.280 (multiplicity 1)
Au 0.500 0.500 0.742 (multiplicity 1)

Principal peaks in the range 2θ from 10° to 80°, by angle:
2θ = 24.9°, I 13; 2θ = 28.0°, I 15; 2θ = 35.6°, I 53; 2θ = 35.8°, I 100; 2θ = 51.2°, I 19; 2θ = 51.9°, I 8; 2θ = 53.3°, I 6; 2θ = 64.0°, I 37; 2θ = 64.5°, I 16; 2θ = 75.9°, I 10

Record 11
The following is a calculated X-ray powder pattern of Ho4TlHg2Au. It was derived from a PBE-relaxed structure, using Cu Kα, 1.54184 Å.
No peak broadening, texture or thermal motion is included.

Structural model:
Unit cell a=5.2335 b=5.2335 c=25.5263 alpha=90.00 beta=90.00 gamma=120.00
Space group R-3m (No. 166, hexagonal axes)
One atom of each set of equivalent atoms:
Ho 0.0000 0.0000 0.1194 (multiplicity 6)
Ho 0.0000 0.0000 0.3703 (multiplicity 6)
Tl 0.0000 0.0000 0.5000 (multiplicity 3)
Hg 0.0000 0.0000 0.2465 (multiplicity 6)
Au 0.0000 0.0000 0.0000 (multiplicity 3)

Principal peaks in the range 2θ from 10° to 80°, by angle:
2θ = 24.1°, I 2; 2θ = 31.5°, I 3; 2θ = 34.3°, I 100; 2θ = 34.4°, I 95; 2θ = 49.3°, I 35; 2θ = 61.4°, I 55; 2θ = 61.6°, I 16; 2θ = 65.4°, I 3; 2θ = 72.2°, I 12; 2θ = 72.4°, I 10

Record 12
The following is a calculated X-ray powder pattern of Hg4AuI4. It was derived from a PBE-relaxed structure, using Cu Kα, 1.54184 Å.
No peak broadening, texture or thermal motion is included.

Structural model:
Unit cell a=12.662 b=12.662 c=4.519 alpha=90.00 beta=90.00 gamma=90.00
Space group I4/m (No. 87)
One atom of each set of equivalent atoms:
Hg 0.127 0.831 0.000 (multiplicity 8)
Au 0.000 0.000 0.000 (multiplicity 2)
I 0.128 0.669 0.500 (multiplicity 8)

Principal peaks in the range 2θ from 10° to 80°, by angle:
2θ = 20.9°, I 98; 2θ = 22.2°, I 37; 2θ = 25.2°, I 30; 2θ = 28.2°, I 34; 2θ = 28.9°, I 37; 2θ = 31.6°, I 30; 2θ = 32.3°, I 39; 2θ = 35.3°, I 28; 2θ = 39.9°, I 28; 2θ = 40.8°, I 100